Simulated XRD peak list of Dy2MgGa2Ir5 for CuKα, from a GGA-PBE-relaxed structure.
No peak broadening, texture or thermal motion is included.

Principal peaks in the range 5° ≤ 2θ ≤ 70°, low angle first:
| d [Å] | I (rel.) | hkl |
| --- | --- | --- |
| 2.782 | 36 | 2 1 1 |
| 2.496 | 20 | 2 2 1 |
| 2.375 | 70 | 4 1 0 |
| 2.348 | 100 | 3 1 1 |
| 2.308 | 30 | 3 3 0 |
| 2.169 | 49 | 3 2 1 |
| 2.025 | 23 | 4 0 1 |
| 1.801 | 27 | 0 0 2 |
| 1.435 | 29 | 4 1 2 |
| 1.422 | 19 | 6 2 1 |

Atomic structure:
```
data_Dy2MgGa2Ir5
_chemical_formula_sum 'Dy4 Mg2 Ga4 Ir10'
_cell_length_a 9.793
_cell_length_b 9.793
_cell_length_c 3.602
_cell_angle_alpha 90.00
_cell_angle_beta 90.00
_cell_angle_gamma 90.00
_space_group_name_H-M_alt 'P 4/m b m'
_space_group_IT_number 127
_space_group_name_Hall '-P 4 2ab'
loop_
_atom_site_label
_atom_site_fract_x
_atom_site_fract_y
_atom_site_fract_z
Dy1 0.174 0.326 0.000
Mg1 0.000 0.000 0.000
Ga1 0.125 0.625 0.000
Ir1 0.000 0.500 0.500
Ir2 0.066 0.795 0.500
```